[1]
This entry pairs a crystal structure of HoTiCo11 with its simulated powder diffractogram. Radiation: Cu Kα, 1.54184 Å. Structure: a cell relaxed with PBE.
No peak broadening, texture or thermal motion is included.

Largest 10 diffraction maxima, low angle first, 15° ≤ 2θ ≤ 90°:
two_theta  I_rel
30.7  445
37.6  276
37.7  258
38.4  190
43.3  324
43.6  1000
43.7  549
44.3  834
49.7  283
73.1  238

Crystal structure
Cell: 6.3402 6.3402 6.3402 Å, 136.61 97.60 98.11°
Fractional coordinates of all 13 atoms:
Ho 0.0000 0.0000 0.0000
Ti 0.6233 0.6233 0.0000
Co 0.2096 0.4910 0.7186
Co 0.2178 0.7178 0.5000
Co 0.3453 0.3453 0.0000
Co 0.3490 0.9907 0.3583
Co 0.4910 0.4918 0.4946
Co 0.4910 0.9965 0.9992
Co 0.6324 0.9907 0.6417
Co 0.7724 0.4910 0.2814
Co 0.7732 0.2732 0.5000
Co 0.9972 0.4918 0.0008
Co 0.9972 0.9965 0.5054

***

[2]
This entry pairs a crystal structure of YHoCo4 with its simulated powder diffractogram. Radiation: Cu Kα, 1.54184 Å. Structure: a cell relaxed with PBE.
No peak broadening, texture or thermal motion is included.

Largest 10 diffraction maxima, low angle first, 15° ≤ 2θ ≤ 90°:
two_theta  I_rel
21.7  106
25.1  52
35.8  542
42.2  1000
44.2  204
56.5  28
64.3  194
68.7  298
75.8  218
86.7  86

Crystal structure
Cell: 5.0207 5.0207 5.0207 Å, 60.00 60.00 60.00°
Fractional coordinates of all 6 atoms:
Y 0.0000 0.0000 0.0000
Ho 0.7500 0.7500 0.7500
Co 0.3751 0.3751 0.3751
Co 0.3751 0.3751 0.8748
Co 0.3751 0.8748 0.3751
Co 0.8748 0.3751 0.3751